(1)
This entry pairs a crystal structure of KNaMnBr4 with its simulated XRD peak list. Radiation: Cu Ka. Structure: a structure optimized by DFT (PBE).
Lines closer than 0.1° are merged.

Crystal structure
Unit cell a=7.288 b=7.612 c=8.888 alpha=90.00 beta=106.77 gamma=90.00
Element x y z (fractional)
K (0.235, 0.250, 0.054)
K (0.765, 0.750, 0.946)
Na (0.220, 0.250, 0.555)
Na (0.780, 0.750, 0.445)
Mn (0.243, 0.750, 0.325)
Mn (0.757, 0.250, 0.675)
Br (0.006, 0.501, 0.272)
Br (0.006, 0.999, 0.272)
Br (0.440, 0.750, 0.139)
Br (0.461, 0.750, 0.595)
Br (0.539, 0.250, 0.405)
Br (0.560, 0.250, 0.861)
Br (0.994, 0.001, 0.728)
Br (0.994, 0.499, 0.728)

Peak list (6 most intense, 10 to 90 degrees two-theta, in order of rising 2θ)
Position (°2θ)  d_spacing  I/Imax
26.68  3.341  1000
29.97  2.982  443
30.41  2.939  451
40.60  2.222  312
45.41  1.997  297
45.71  1.985  320



(2)
This entry pairs a crystal structure of K2MnPbBr6 with its simulated XRD peak list. Radiation: Cu Ka. Structure: a structure optimized by DFT (PBE).
Lines closer than 0.1° are merged.

Crystal structure
Unit cell a=7.808 b=7.809 c=7.812 alpha=61.08 beta=61.09 gamma=61.09
Element x y z (fractional)
K (0.224, 0.225, 0.224)
K (0.776, 0.775, 0.776)
Mn (0.000, 0.000, 0.000)
Pb (0.500, 0.500, 0.500)
Br (0.145, 0.775, 0.323)
Br (0.225, 0.677, 0.855)
Br (0.323, 0.145, 0.776)
Br (0.677, 0.855, 0.224)
Br (0.775, 0.323, 0.145)
Br (0.855, 0.225, 0.677)

Peak list (6 most intense, 10 to 90 degrees two-theta, in order of rising 2θ)
Position (°2θ)  d_spacing  I/Imax
15.92  5.566  1000
26.52  3.362  952
32.16  2.783  803
34.85  2.574  324
36.33  2.473  510
39.32  2.291  322



(3)
This entry pairs a crystal structure of K3Rb3MnBr8 with its simulated XRD peak list. Radiation: Cu Ka. Structure: a structure optimized by DFT (PBE).
Lines closer than 0.1° are merged.

Crystal structure
Unit cell a=9.611 b=9.611 c=9.611 alpha=58.81 beta=58.81 gamma=58.81
Element x y z (fractional)
K (0.000, 0.500, 0.500)
K (0.500, 0.000, 0.500)
K (0.500, 0.500, 0.000)
Rb (0.000, 0.000, 0.500)
Rb (0.000, 0.500, 0.000)
Rb (0.500, 0.000, 0.000)
Mn (0.000, 0.000, 0.000)
Br (0.205, 0.205, 0.789)
Br (0.205, 0.789, 0.205)
Br (0.211, 0.795, 0.795)
Br (0.254, 0.254, 0.254)
Br (0.746, 0.746, 0.746)
Br (0.789, 0.205, 0.205)
Br (0.795, 0.211, 0.795)
Br (0.795, 0.795, 0.211)

Peak list (6 most intense, 10 to 90 degrees two-theta, in order of rising 2θ)
Position (°2θ)  d_spacing  I/Imax
11.45  7.728  360
26.48  3.366  1000
34.64  2.590  103
37.44  2.402  300
38.15  2.359  318
47.04  1.932  138



(4)
This entry pairs a crystal structure of KRbMnBr4 with its simulated XRD peak list. Radiation: Cu Ka. Structure: a structure optimized by DFT (PBE).
Lines closer than 0.1° are merged.

Crystal structure
Unit cell a=7.663 b=7.686 c=9.493 alpha=90.00 beta=108.11 gamma=90.00
Element x y z (fractional)
K (0.220, 0.250, 0.053)
K (0.780, 0.750, 0.947)
Rb (0.268, 0.250, 0.567)
Rb (0.732, 0.750, 0.433)
Mn (0.227, 0.750, 0.807)
Mn (0.773, 0.250, 0.193)
Br (0.007, 0.001, 0.752)
Br (0.007, 0.499, 0.752)
Br (0.414, 0.750, 0.073)
Br (0.419, 0.750, 0.638)
Br (0.581, 0.250, 0.362)
Br (0.586, 0.250, 0.927)
Br (0.993, 0.501, 0.248)
Br (0.993, 0.999, 0.248)

Peak list (6 most intense, 10 to 90 degrees two-theta, in order of rising 2θ)
Position (°2θ)  d_spacing  I/Imax
26.24  3.396  1000
28.75  3.105  459
30.55  2.926  420
33.91  2.643  169
37.91  2.373  200
43.39  2.086  197



(5)
This entry pairs a crystal structure of KRb4Mn3Br12 with its simulated XRD peak list. Radiation: Cu Ka. Structure: a structure optimized by DFT (PBE).
Lines closer than 0.1° are merged.

Crystal structure
Unit cell a=9.583 b=9.583 c=9.583 alpha=109.47 beta=109.47 gamma=109.47
Element x y z (fractional)
K (0.000, 0.000, 0.000)
Rb (0.000, 0.000, 0.500)
Rb (0.000, 0.500, 0.000)
Rb (0.500, 0.000, 0.000)
Rb (0.500, 0.500, 0.500)
Mn (0.000, 0.500, 0.500)
Mn (0.500, 0.000, 0.500)
Mn (0.500, 0.500, 0.000)
Br (0.000, 0.276, 0.276)
Br (0.000, 0.724, 0.724)
Br (0.250, 0.500, 0.750)
Br (0.250, 0.750, 0.500)
Br (0.276, 0.000, 0.276)
Br (0.276, 0.276, 0.000)
Br (0.500, 0.250, 0.750)
Br (0.500, 0.750, 0.250)
Br (0.724, 0.000, 0.724)
Br (0.724, 0.724, 0.000)
Br (0.750, 0.250, 0.500)
Br (0.750, 0.500, 0.250)

Peak list (6 most intense, 10 to 90 degrees two-theta, in order of rising 2θ)
Position (°2θ)  d_spacing  I/Imax
27.93  3.194  1000
32.36  2.766  961
46.42  1.956  649
55.05  1.668  389
57.72  1.597  212
77.09  1.237  250



(6)
This entry pairs a crystal structure of KRb2MnBr6 with its simulated XRD peak list. Radiation: Cu Ka. Structure: a structure optimized by DFT (PBE).
Lines closer than 0.1° are merged.

Crystal structure
Unit cell a=8.042 b=8.042 c=8.042 alpha=60.00 beta=60.00 gamma=60.00
Element x y z (fractional)
K (0.000, 0.000, 0.000)
Rb (0.250, 0.250, 0.250)
Rb (0.750, 0.750, 0.750)
Mn (0.500, 0.500, 0.500)
Br (0.275, 0.275, 0.725)
Br (0.275, 0.725, 0.275)
Br (0.275, 0.725, 0.725)
Br (0.725, 0.275, 0.275)
Br (0.725, 0.275, 0.725)
Br (0.725, 0.725, 0.275)

Peak list (6 most intense, 10 to 90 degrees two-theta, in order of rising 2θ)
Position (°2θ)  d_spacing  I/Imax
27.16  3.283  1000
31.47  2.843  922
45.10  2.010  600
53.44  1.714  353
56.02  1.641  188
74.65  1.271  202



(7)
This entry pairs a crystal structure of K3Mn2TlBr8 with its simulated XRD peak list. Radiation: Cu Ka. Structure: a structure optimized by DFT (PBE).
Lines closer than 0.1° are merged.

Crystal structure
Unit cell a=8.288 b=8.288 c=9.350 alpha=90.00 beta=90.00 gamma=120.00
Element x y z (fractional)
K (0.000, 0.000, 0.000)
K (0.333, 0.667, 0.577)
K (0.667, 0.333, 0.423)
Mn (0.333, 0.667, 0.171)
Mn (0.667, 0.333, 0.829)
Tl (0.000, 0.000, 0.500)
Br (0.175, 0.350, 0.288)
Br (0.175, 0.825, 0.288)
Br (0.333, 0.667, 0.913)
Br (0.350, 0.175, 0.712)
Br (0.650, 0.825, 0.288)
Br (0.667, 0.333, 0.087)
Br (0.825, 0.175, 0.712)
Br (0.825, 0.650, 0.712)

Peak list (6 most intense, 10 to 90 degrees two-theta, in order of rising 2θ)
Position (°2θ)  d_spacing  I/Imax
15.56  5.694  1000
21.44  4.144  675
26.60  3.351  861
28.79  3.101  646
31.42  2.847  590
43.68  2.072  594



(8)
This entry pairs a crystal structure of KMn2VBr8 with its simulated XRD peak list. Radiation: Cu Ka. Structure: a structure optimized by DFT (PBE).
Lines closer than 0.1° are merged.

Crystal structure
Unit cell a=11.431 b=11.431 c=11.431 alpha=33.43 beta=33.43 gamma=33.43
Element x y z (fractional)
K (0.000, 0.000, 0.000)
Mn (0.240, 0.240, 0.240)
Mn (0.760, 0.760, 0.760)
V (0.500, 0.500, 0.500)
Br (0.156, 0.423, 0.763)
Br (0.237, 0.577, 0.844)
Br (0.315, 0.315, 0.315)
Br (0.423, 0.763, 0.156)
Br (0.577, 0.844, 0.237)
Br (0.685, 0.685, 0.685)
Br (0.763, 0.156, 0.423)
Br (0.844, 0.237, 0.577)

Peak list (6 most intense, 10 to 90 degrees two-theta, in order of rising 2θ)
Position (°2θ)  d_spacing  I/Imax
24.77  3.594  822
27.13  3.287  905
28.39  3.144  1000
37.06  2.425  759
43.41  2.084  563
47.93  1.898  630



(9)
This entry pairs a crystal structure of K2MoBr6 with its simulated XRD peak list. Radiation: Cu Ka. Structure: a structure optimized by DFT (PBE).
Lines closer than 0.1° are merged.

Crystal structure
Unit cell a=7.139 b=7.139 c=13.862 alpha=90.00 beta=90.00 gamma=90.00
Element x y z (fractional)
K (0.000, 0.000, 0.168)
K (0.000, 0.000, 0.832)
K (0.500, 0.500, 0.332)
K (0.500, 0.500, 0.668)
Mo (0.000, 0.000, 0.500)
Mo (0.500, 0.500, 0.000)
Br (0.178, 0.178, 0.368)
Br (0.178, 0.178, 0.632)
Br (0.248, 0.248, 0.000)
Br (0.252, 0.748, 0.500)
Br (0.322, 0.678, 0.132)
Br (0.322, 0.678, 0.868)
Br (0.678, 0.322, 0.132)
Br (0.678, 0.322, 0.868)
Br (0.748, 0.252, 0.500)
Br (0.752, 0.752, 0.000)
Br (0.822, 0.822, 0.368)
Br (0.822, 0.822, 0.632)

Peak list (6 most intense, 10 to 90 degrees two-theta, in order of rising 2θ)
Position (°2θ)  d_spacing  I/Imax
13.95  6.347  700
17.57  5.048  557
26.15  3.408  1000
34.14  2.627  443
35.57  2.524  341
42.74  2.116  352



(10)
This entry pairs a crystal structure of KMoBr2 with its simulated XRD peak list. Radiation: Cu Ka. Structure: a structure optimized by DFT (PBE).
Lines closer than 0.1° are merged.

Crystal structure
Unit cell a=7.851 b=7.851 c=7.851 alpha=150.66 beta=148.30 gamma=43.74
Element x y z (fractional)
K (0.000, 0.000, 0.000)
Mo (0.239, 0.739, 0.500)
Br (0.399, 0.399, 0.000)
Br (0.684, 0.184, 0.500)

Peak list (6 most intense, 10 to 90 degrees two-theta, in order of rising 2θ)
Position (°2θ)  d_spacing  I/Imax
12.15  7.286  288
24.43  3.643  221
27.75  3.215  178
29.02  3.077  218
33.09  2.707  1000
38.29  2.351  203